Entry 1:
The following is a theoretical powder diffractogram of NdMnGe2Pt5. It was derived from DFT lattice parameters and positions (PBE), using Cu Kα (λ = 1.5418 Å).
Neutral-atom scattering factors, no anomalous dispersion.

Atomic structure:
```
data_NdMnGe2Pt5
_chemical_formula_sum 'Nd1 Mn1 Ge2 Pt5'
_cell_length_a 4.113
_cell_length_b 4.113
_cell_length_c 10.771
_cell_angle_alpha 90.00
_cell_angle_beta 90.00
_cell_angle_gamma 90.00
_space_group_name_H-M_alt 'P 4/m m m'
_space_group_IT_number 123
_space_group_name_Hall '-P 4 2'
loop_
_atom_site_label
_atom_site_type_symbol
_atom_site_fract_x
_atom_site_fract_y
_atom_site_fract_z
Nd1 Nd 0.000 0.000 0.000
Mn1 Mn 0.000 0.000 0.500
Ge1 Ge 0.500 0.500 0.225
Pt1 Pt 0.000 0.500 0.351
Pt2 Pt 0.500 0.500 0.000
```

Principal peaks in the range 2θ = 10–90°, by intensity:
d/Å, I/Imax
2.808, 100
1.976, 84
3.590, 72
2.056, 62
1.784, 42
2.559, 31
1.171, 31
2.260, 25
1.454, 20
1.348, 19

---

Entry 2:
The following is a theoretical powder diffractogram of Mn2Ni6Ge. It was derived from DFT lattice parameters and positions (PBE), using Cu Kα (λ = 1.5418 Å).
Neutral-atom scattering factors, no anomalous dispersion.

Atomic structure:
```
data_Mn2Ni6Ge
_chemical_formula_sum 'Mn4 Ni12 Ge2'
_cell_length_a 12.496
_cell_length_b 6.709
_cell_length_c 2.628
_cell_angle_alpha 90.00
_cell_angle_beta 90.11
_cell_angle_gamma 90.00
_space_group_name_H-M_alt 'C 1 2/m 1'
_space_group_IT_number 12
loop_
_space_group_symop_operation_xyz
'x,y,z'
'-x,-y,-z'
'-x,y,-z'
'x,-y,z'
'x+1/2,y+1/2,z'
'-x+1/2,-y+1/2,-z'
'-x+1/2,y+1/2,-z'
'x+1/2,-y+1/2,z'
loop_
_atom_site_label
_atom_site_type_symbol
_atom_site_fract_x
_atom_site_fract_y
_atom_site_fract_z
Mn1 Mn 0.186 0.000 0.000
Ni1 Ni 0.000 0.185 0.000
Ni2 Ni 0.161 0.314 0.501
Ge1 Ge 0.000 0.500 0.500
```

Principal peaks in the range 2θ = 10–90°, by intensity:
d/Å, I/Imax
1.970, 100
1.964, 69
2.401, 63
2.083, 60
1.725, 38
1.748, 31
1.093, 26
2.011, 16
1.190, 15
1.314, 13

---

Entry 3:
The following is a theoretical powder diffractogram of PaMnNiGe2. It was derived from DFT lattice parameters and positions (PBE), using Cu Kα (λ = 1.5418 Å).
Neutral-atom scattering factors, no anomalous dispersion.

Atomic structure:
```
data_PaMnNiGe2
_chemical_formula_sum 'Pa2 Mn2 Ni2 Ge4'
_cell_length_a 4.022
_cell_length_b 4.022
_cell_length_c 10.026
_cell_angle_alpha 90.00
_cell_angle_beta 90.00
_cell_angle_gamma 90.00
_space_group_name_H-M_alt 'I -4 m 2'
_space_group_IT_number 119
_space_group_name_Hall 'I -4 -2'
loop_
_atom_site_label
_atom_site_type_symbol
_atom_site_fract_x
_atom_site_fract_y
_atom_site_fract_z
Pa1 Pa 0.000 0.000 0.000
Mn1 Mn 0.000 0.500 0.250
Ni1 Ni 0.000 0.500 0.750
Ge1 Ge 0.000 0.000 0.373
```

Principal peaks in the range 2θ = 10–90°, by intensity:
d/Å, I/Imax
2.571, 100
2.474, 94
2.011, 54
1.584, 46
2.844, 38
1.795, 33
3.733, 32
1.339, 25
1.233, 20
1.441, 18

---

Entry 4:
The following is a theoretical powder diffractogram of Np2Mn3Ge5. It was derived from DFT lattice parameters and positions (PBE), using Cu Kα (λ = 1.5418 Å).
Neutral-atom scattering factors, no anomalous dispersion.

Atomic structure:
```
data_Np2Mn3Ge5
_chemical_formula_sum 'Np8 Mn12 Ge20'
_cell_length_a 4.070
_cell_length_b 24.779
_cell_length_c 6.779
_cell_angle_alpha 90.00
_cell_angle_beta 90.00
_cell_angle_gamma 90.00
_space_group_name_H-M_alt 'C m c 21'
_space_group_IT_number 36
loop_
_space_group_symop_operation_xyz
'x,y,z'
'-x,-y,z+1/2'
'-x,y,z'
'x,-y,z+1/2'
'x+1/2,y+1/2,z'
'-x+1/2,-y+1/2,z+1/2'
'-x+1/2,y+1/2,z'
'x+1/2,-y+1/2,z+1/2'
loop_
_atom_site_label
_atom_site_type_symbol
_atom_site_fract_x
_atom_site_fract_y
_atom_site_fract_z
Np1 Np 0.000 0.023 0.000
Np2 Np 0.000 0.326 0.038
Mn1 Mn 0.000 0.111 0.238
Mn2 Mn 0.000 0.287 0.540
Mn3 Mn 0.000 0.455 0.219
Ge1 Ge 0.000 0.095 0.635
Ge2 Ge 0.000 0.208 0.821
Ge3 Ge 0.000 0.213 0.261
Ge4 Ge 0.000 0.383 0.491
Ge5 Ge 0.000 0.447 0.829
```

Principal peaks in the range 2θ = 10–90°, by intensity:
d/Å, I/Imax
2.484, 100
2.327, 19
2.035, 18
3.651, 15
1.372, 13
2.280, 13
4.573, 12
1.245, 12
2.620, 12
1.532, 11

---

Entry 5:
The following is a theoretical powder diffractogram of Np2MnGe4Rh3. It was derived from DFT lattice parameters and positions (PBE), using Cu Kα (λ = 1.5418 Å).
Neutral-atom scattering factors, no anomalous dispersion.

Atomic structure:
```
data_Np2MnGe4Rh3
_chemical_formula_sum 'Np2 Mn1 Ge4 Rh3'
_cell_length_a 4.146
_cell_length_b 4.146
_cell_length_c 10.414
_cell_angle_alpha 90.00
_cell_angle_beta 90.00
_cell_angle_gamma 90.00
_space_group_name_H-M_alt 'P -4 m 2'
_space_group_IT_number 115
loop_
_space_group_symop_operation_xyz
'x,y,z'
'y,-x,-z'
'-x,-y,z'
'-y,x,-z'
'-x,y,z'
'-y,-x,-z'
'x,-y,z'
'y,x,-z'
loop_
_atom_site_label
_atom_site_type_symbol
_atom_site_fract_x
_atom_site_fract_y
_atom_site_fract_z
Np1 Np 0.000 0.500 0.247
Mn1 Mn 0.000 0.000 0.500
Ge1 Ge 0.000 0.000 0.000
Ge2 Ge 0.000 0.500 0.635
Ge3 Ge 0.500 0.500 0.000
Rh1 Rh 0.000 0.500 0.870
Rh2 Rh 0.500 0.500 0.500
```

Principal peaks in the range 2θ = 10–90°, by intensity:
d/Å, I/Imax
2.555, 100
2.662, 80
2.073, 54
1.636, 38
1.861, 36
2.932, 29
1.385, 27
1.272, 22
1.466, 18
3.852, 17